The following is a computed PXRD pattern of Tl6InCl8. It was derived from a GGA-PBE-relaxed structure, using Cu Kα X-rays.

Crystal structure
```
data_Tl6InCl8
_cell_length_a 9.529
_cell_length_b 9.529
_cell_length_c 6.188
_cell_angle_alpha 90.00
_cell_angle_beta 90.00
_cell_angle_gamma 120.00
_symmetry_space_group_name_H-M 'P 1'
_symmetry_Int_Tables_number 1
loop_
_symmetry_equiv_pos_as_xyz
'x,y,z'
loop_
_atom_site_label
_atom_site_fract_x
_atom_site_fract_y
_atom_site_fract_z
Tl1 0.005 0.383 0.264
Tl2 0.378 0.995 0.264
Tl3 0.383 0.378 0.736
Tl4 0.617 0.622 0.264
Tl5 0.622 0.005 0.736
Tl6 0.995 0.617 0.736
In1 0.000 0.000 0.500
Cl1 0.001 0.249 0.738
Cl2 0.248 0.999 0.738
Cl3 0.249 0.248 0.262
Cl4 0.333 0.667 0.497
Cl5 0.667 0.333 0.503
Cl6 0.751 0.752 0.738
Cl7 0.752 0.001 0.262
Cl8 0.999 0.751 0.262
```

Principal peaks in the range 2θ from 5° to 70°, by angle:
| two_theta | d_spacing | I/Imax |
| --- | --- | --- |
| 18.62 | 4.765 | 25.8 |
| 21.54 | 4.126 | 20.4 |
| 23.57 | 3.775 | 100.0 |
| 28.86 | 3.094 | 23.2 |
| 32.14 | 2.785 | 49.9 |
| 32.55 | 2.751 | 46.7 |
| 34.57 | 2.595 | 39.9 |
| 40.58 | 2.223 | 21.9 |
| 42.09 | 2.147 | 28.4 |
| 44.05 | 2.056 | 18.0 |
| 48.06 | 1.893 | 26.9 |
| 61.30 | 1.512 | 16.4 |

---

The following is a computed PXRD pattern of NaThInS4. It was derived from a GGA-PBE-relaxed structure, using Cu Kα X-rays.

Crystal structure
```
data_NaThInS4
_cell_length_a 8.062
_cell_length_b 8.062
_cell_length_c 8.062
_cell_angle_alpha 122.35
_cell_angle_beta 116.67
_cell_angle_gamma 90.92
_symmetry_space_group_name_H-M 'P 1'
_symmetry_Int_Tables_number 1
loop_
_symmetry_equiv_pos_as_xyz
'x,y,z'
loop_
_atom_site_label
_atom_site_fract_x
_atom_site_fract_y
_atom_site_fract_z
Na1 0.500 0.000 0.000
Na2 0.500 0.500 0.500
Th1 0.000 0.000 0.000
Th2 0.500 0.000 0.500
In1 0.104 0.354 0.750
In2 0.896 0.646 0.250
S1 0.242 0.242 0.000
S2 0.247 0.237 0.491
S3 0.247 0.756 0.009
S4 0.258 0.758 0.500
S5 0.742 0.242 0.500
S6 0.753 0.244 0.991
S7 0.753 0.763 0.509
S8 0.758 0.758 0.000
```

Principal peaks in the range 2θ from 5° to 70°, by angle:
| two_theta | d_spacing | I/Imax |
| --- | --- | --- |
| 13.82 | 6.406 | 57.3 |
| 15.67 | 5.655 | 23.8 |
| 22.09 | 4.023 | 20.8 |
| 22.88 | 3.887 | 36.7 |
| 25.22 | 3.531 | 100.0 |
| 26.28 | 3.392 | 65.9 |
| 31.25 | 2.863 | 23.8 |
| 35.14 | 2.554 | 26.2 |
| 38.28 | 2.351 | 17.6 |
| 41.63 | 2.170 | 40.0 |
| 45.07 | 2.011 | 61.9 |
| 50.86 | 1.795 | 18.7 |

---

The following is a computed PXRD pattern of La2ZrGa3Pt4. It was derived from a GGA-PBE-relaxed structure, using Cu Kα X-rays.

Crystal structure
```
data_La2ZrGa3Pt4
_cell_length_a 4.303
_cell_length_b 4.303
_cell_length_c 11.130
_cell_angle_alpha 90.00
_cell_angle_beta 90.00
_cell_angle_gamma 90.00
_symmetry_space_group_name_H-M 'P 1'
_symmetry_Int_Tables_number 1
loop_
_symmetry_equiv_pos_as_xyz
'x,y,z'
loop_
_atom_site_label
_atom_site_fract_x
_atom_site_fract_y
_atom_site_fract_z
La1 0.000 0.500 0.236
La2 0.500 0.000 0.764
Zr1 0.000 0.000 0.500
Ga1 0.000 0.500 0.876
Ga2 0.500 0.000 0.124
Ga3 0.500 0.500 0.500
Pt1 0.000 0.000 0.000
Pt2 0.000 0.500 0.649
Pt3 0.500 0.000 0.351
Pt4 0.500 0.500 0.000
```

Principal peaks in the range 2θ from 5° to 70°, by angle:
| two_theta | d_spacing | I/Imax |
| --- | --- | --- |
| 23.99 | 3.710 | 10.7 |
| 26.18 | 3.404 | 15.7 |
| 30.45 | 2.935 | 14.6 |
| 31.85 | 2.810 | 33.1 |
| 33.57 | 2.670 | 100.0 |
| 41.99 | 2.152 | 57.4 |
| 44.10 | 2.053 | 31.5 |
| 45.90 | 1.977 | 25.9 |
| 53.65 | 1.708 | 15.1 |
| 58.27 | 1.583 | 10.5 |
| 60.89 | 1.521 | 19.1 |
| 63.95 | 1.456 | 19.3 |